Diffraction record for TlCo2Br6. The XRD peak list is computed, not measured: it uses a crystal structure in Alexandria, relaxed with GGA-PBE and Cu Kα, 1.54184 Å.
Peak positions follow from Bragg's law for the DFT cell and can differ from measured ones.

Top 12 peaks for 2θ = 5–70°, by intensity:
2θ/deg, I/Imax
42.24, 100
20.29, 91
20.92, 82
28.61, 75
27.04, 66
29.69, 55
16.97, 46
23.77, 45
32.49, 45
31.82, 44
24.66, 39
8.95, 35

Structure:
```
TlCo2Br6
1.0
7.0251 -7.0636 0.0000
7.0251 7.0636 0.0000
-1.2449 0.0000 6.6824
Tl Co Br
2 4 12
Cartesian
6.0914 5.2260 5.0118 Tl
6.7138 -5.2260 1.6706 Tl
3.2493 1.0544 4.9685 Co
3.8717 -1.0544 1.6273 Co
8.9336 1.0544 5.0551 Co
9.5560 -1.0544 1.7139 Co
0.9366 1.1955 4.6732 Br
4.1451 2.8522 6.1097 Br
1.5590 -1.1955 1.3320 Br
4.3847 0.9475 2.8393 Br
3.7623 -0.9475 6.1806 Br
8.0378 2.8522 3.9139 Br
4.7675 -2.8522 2.7685 Br
9.0430 0.9475 0.5019 Br
8.4205 -0.9475 3.8431 Br
11.2463 1.1955 5.3504 Br
8.6602 -2.8522 0.5727 Br
11.8687 -1.1955 2.0092 Br
```